(1)
Computed X-ray powder pattern
Compound: La5TbY
Radiation: Cu Kα (λ = 1.5418 Å)
Structure: DFT lattice parameters and positions (PBE)
Neutral-atom scattering factors, no anomalous dispersion.

Most intense lines, 2θ from 10° to 90°, most intense first:
2θ (°)  I/Imax
31.40  100
29.90  94
33.23  73
31.62  70
27.60  68
31.00  57
29.55  52
32.43  46
26.33  43
61.97  24

Structural model:
a = 16.699 Å, b = 6.769 Å, c = 11.076 Å
α = 90.00°, β = 126.38°, γ = 90.00°
Space group C2/c (No. 15)
Symmetry-distinct sites (fractional):
1 La 0.000 0.009 0.250 x4
2 La 0.091 0.252 0.592 x8
3 La 0.176 0.254 0.093 x8
4 Tb 0.250 0.250 0.500 x4
5 Y 0.000 0.487 0.250 x4

(2)
Computed X-ray powder pattern
Compound: KLiInO3
Radiation: Cu Kα (λ = 1.5418 Å)
Structure: DFT lattice parameters and positions (PBE)
Neutral-atom scattering factors, no anomalous dispersion.

Most intense lines, 2θ from 10° to 90°, most intense first:
2θ (°)  I/Imax
14.72  100
12.13  69
36.25  62
28.91  46
36.70  38
29.68  29
36.94  23
12.57  22
25.30  19
47.68  18

Structural model:
a = 7.360 Å, b = 3.408 Å, c = 7.631 Å
α = 90.00°, β = 106.96°, γ = 90.00°
Space group P2_1/m (No. 11)
Symmetry-distinct sites (fractional):
1 K 0.206 0.250 0.239 x2
2 Li 0.083 0.250 0.594 x2
3 In 0.336 0.750 0.848 x2
4 O 0.140 0.250 0.855 x2
5 O 0.181 0.750 0.558 x2
6 O 0.466 0.750 0.147 x2

(3)
Computed X-ray powder pattern
Compound: MnTlInBr6
Radiation: Cu Kα (λ = 1.5418 Å)
Structure: DFT lattice parameters and positions (PBE)
Neutral-atom scattering factors, no anomalous dispersion.

Most intense lines, 2θ from 10° to 90°, most intense first:
2θ (°)  I/Imax
18.92  100
35.32  86
28.14  68
44.65  36
41.10  32
31.81  19
55.86  18
58.18  16
47.62  15
76.19  14

Structural model:
a = 7.0301 Å, b = 7.0301 Å, c = 14.7114 Å
α = 90.00°, β = 90.00°, γ = 120.00°
Space group P-31c (No. 163)
Symmetry-distinct sites (fractional):
1 Mn 0.3333 0.6667 0.2500 x2
2 Tl 0.0000 0.0000 0.0000 x2
3 In 0.3333 0.6667 0.7500 x2
4 Br 0.0030 0.3732 0.1441 x12

(4)
Computed X-ray powder pattern
Compound: Zr6Fe2Pt
Radiation: Cu Kα (λ = 1.5418 Å)
Structure: DFT lattice parameters and positions (PBE)
Neutral-atom scattering factors, no anomalous dispersion.

Most intense lines, 2θ from 10° to 90°, most intense first:
2θ (°)  I/Imax
37.82  100
35.10  97
36.95  34
33.46  33
67.05  28
38.78  27
42.85  22
40.80  21
39.26  21
23.79  15

Structural model:
a = 8.443 Å, b = 8.725 Å, c = 9.501 Å
α = 90.00°, β = 90.00°, γ = 90.00°
Space group Immm (No. 71)
Symmetry-distinct sites (fractional):
1 Zr 0.000 0.198 0.232 x8
2 Zr 0.198 0.500 0.169 x8
3 Zr 0.201 0.315 0.500 x8
4 Fe 0.000 0.338 0.000 x4
5 Fe 0.000 0.500 0.365 x4
6 Pt 0.000 0.000 0.000 x2
7 Pt 0.000 0.000 0.500 x2

(5)
Computed X-ray powder pattern
Compound: NaZn3Re
Radiation: Cu Kα (λ = 1.5418 Å)
Structure: DFT lattice parameters and positions (PBE)
Neutral-atom scattering factors, no anomalous dispersion.

Most intense lines, 2θ from 10° to 90°, most intense first:
2θ (°)  I/Imax
18.09  100
36.64  58
41.15  50
52.79  40
25.69  30
56.27  25
89.32  18
80.79  14
45.29  14
65.97  13

Structural model:
a = 4.905 Å, b = 4.905 Å, c = 4.905 Å
α = 90.00°, β = 90.00°, γ = 90.00°
Space group Pm-3m (No. 221)
Symmetry-distinct sites (fractional):
1 Na 0.000 0.000 0.000 x1
2 Zn 0.000 0.500 0.500 x3
3 Re 0.500 0.500 0.500 x1

(6)
Computed X-ray powder pattern
Compound: TbTm2Mg9
Radiation: Cu Kα (λ = 1.5418 Å)
Structure: DFT lattice parameters and positions (PBE)
Neutral-atom scattering factors, no anomalous dispersion.

Most intense lines, 2θ from 10° to 90°, most intense first:
2θ (°)  I/Imax
33.41  100
19.10  97
27.14  84
47.97  36
55.98  34
38.72  33
43.53  32
66.73  26
59.70  22
38.85  17

Structural model:
a = 4.651 Å, b = 4.651 Å, c = 13.909 Å
α = 90.00°, β = 90.00°, γ = 90.00°
Space group P4/mmm (No. 123)
Symmetry-distinct sites (fractional):
1 Tb 0.000 0.000 0.000 x1
2 Tm 0.000 0.000 0.334 x2
3 Mg 0.000 0.500 0.169 x4
4 Mg 0.000 0.500 0.500 x2
5 Mg 0.500 0.500 0.000 x1
6 Mg 0.500 0.500 0.335 x2

(7)
Computed X-ray powder pattern
Compound: Ac6In2Ru
Radiation: Cu Kα (λ = 1.5418 Å)
Structure: DFT lattice parameters and positions (PBE)
Neutral-atom scattering factors, no anomalous dispersion.

Most intense lines, 2θ from 10° to 90°, most intense first:
2θ (°)  I/Imax
29.29  100
30.37  73
30.90  66
26.30  58
26.00  44
24.08  44
26.53  43
29.64  37
28.31  30
30.26  29

Structural model:
a = 7.269 Å, b = 10.532 Å, c = 10.665 Å
α = 90.00°, β = 122.16°, γ = 90.00°
Space group P2_1/c (No. 14)
Symmetry-distinct sites (fractional):
1 Ac 0.130 0.136 0.466 x4
2 Ac 0.304 0.746 0.437 x4
3 Ac 0.318 0.035 0.186 x4
4 In 0.208 0.087 0.818 x4
5 Ru 0.500 0.000 0.500 x2

(8)
Computed X-ray powder pattern
Compound: Er2ThMg2
Radiation: Cu Kα (λ = 1.5418 Å)
Structure: DFT lattice parameters and positions (PBE)
Neutral-atom scattering factors, no anomalous dispersion.

Most intense lines, 2θ from 10° to 90°, most intense first:
2θ (°)  I/Imax
31.56  100
36.78  93
29.76  83
34.13  56
50.24  40
37.04  32
27.82  32
63.01  28
56.02  27
61.42  22

Structural model:
a = 3.493 Å, b = 24.271 Å, c = 3.455 Å
α = 90.00°, β = 90.00°, γ = 90.00°
Space group Cmmm (No. 65)
Symmetry-distinct sites (fractional):
1 Er 0.000 0.101 0.000 x4
2 Th 0.000 0.500 0.500 x2
3 Mg 0.000 0.303 0.500 x4